Structure and simulated powder diffraction line list of CdMoIrAu (DFT lattice parameters and positions (PBE); CuKα).
Lines closer than 0.1° are merged.

Crystal structure
```
CdMoIrAu
1.0
0.000 3.243 3.243
3.243 0.000 3.243
3.243 3.243 0.000
Cd Mo Ir Au
1 1 1 1
direct
0.000 0.000 0.000
0.500 0.500 0.500
0.250 0.250 0.250
0.750 0.750 0.750
```

Largest 6 diffraction maxima, in order of falling intensity, 2θ = 10–90°:
39.28 deg, I = 100.0
71.21 deg, I = 34.6
56.77 deg, I = 17.0
84.49 deg, I = 11.2
27.50 deg, I = 10.4
64.21 deg, I = 4.5


Structure and simulated powder diffraction line list of La2NdCd2Si4Au2 (DFT lattice parameters and positions (PBE); CuKα).
Lines closer than 0.1° are merged.

Crystal structure
```
La2NdCd2Si4Au2
1.0
-2.165 2.178 13.030
2.165 -2.178 13.030
2.165 2.178 -13.030
La Nd Cd Si Au
2 1 2 4 2
direct
0.141 0.141 0.000
0.859 0.859 0.000
0.500 0.000 0.500
0.250 0.750 0.500
0.750 0.250 0.500
0.045 0.545 0.500
0.315 0.315 0.000
0.685 0.685 0.000
0.955 0.455 0.500
0.410 0.410 0.000
0.590 0.590 0.000
```

Largest 6 diffraction maxima, in order of falling intensity, 2θ = 10–90°:
32.22 deg, I = 100.0
31.68 deg, I = 42.7
43.49 deg, I = 29.0
41.45 deg, I = 20.4
41.71 deg, I = 20.0
60.24 deg, I = 16.8


Structure and simulated powder diffraction line list of Li8CdAu2 (DFT lattice parameters and positions (PBE); CuKα).
Lines closer than 0.1° are merged.

Crystal structure
```
Li8CdAu2
1.0
3.824 -2.207 0.000
3.824 2.207 0.000
-2.587 0.000 10.231
Li Cd Au
8 1 2
direct
0.093 0.093 0.279
0.180 0.180 0.542
0.269 0.269 0.808
0.367 0.367 0.100
0.633 0.633 0.900
0.731 0.731 0.192
0.820 0.820 0.458
0.907 0.907 0.721
0.000 0.000 0.000
0.453 0.453 0.360
0.547 0.547 0.640
```

Largest 6 diffraction maxima, in order of falling intensity, 2θ = 10–90°:
23.99 deg, I = 100.0
40.89 deg, I = 41.4
23.45 deg, I = 37.4
26.04 deg, I = 29.4
26.13 deg, I = 29.4
39.97 deg, I = 29.1


Structure and simulated powder diffraction line list of Li4CdSnAu2 (DFT lattice parameters and positions (PBE); CuKα).
Lines closer than 0.1° are merged.

Crystal structure
```
Li4CdSnAu2
1.0
4.600 0.000 0.000
0.000 4.600 0.000
0.000 0.000 6.433
Li Cd Sn Au
4 1 1 2
direct
0.000 0.000 0.000
0.000 0.500 0.741
0.500 0.000 0.259
0.500 0.500 0.500
0.000 0.000 0.500
0.500 0.500 0.000
0.000 0.500 0.246
0.500 0.000 0.754
```

Largest 6 diffraction maxima, in order of falling intensity, 2θ = 10–90°:
23.78 deg, I = 100.0
39.40 deg, I = 58.6
46.33 deg, I = 34.9
39.16 deg, I = 29.8
71.13 deg, I = 20.9
46.74 deg, I = 16.9


Structure and simulated powder diffraction line list of SrLiCdAu2 (DFT lattice parameters and positions (PBE); CuKα).
Lines closer than 0.1° are merged.

Crystal structure
```
SrLiCdAu2
1.0
-2.137 2.137 6.474
2.137 -2.137 6.474
2.137 2.137 -6.474
Sr Li Cd Au
1 1 1 2
direct
0.000 0.000 0.000
0.750 0.250 0.500
0.250 0.750 0.500
0.392 0.392 0.000
0.608 0.608 0.000
```

Largest 6 diffraction maxima, in order of falling intensity, 2θ = 10–90°:
21.90 deg, I = 100.0
40.74 deg, I = 80.9
29.41 deg, I = 66.6
42.30 deg, I = 56.2
32.71 deg, I = 53.8
29.56 deg, I = 53.2


Structure and simulated powder diffraction line list of Mg2CdAu (DFT lattice parameters and positions (PBE); CuKα).
Lines closer than 0.1° are merged.

Crystal structure
```
Mg2CdAu
1.0
4.946 0.000 0.000
0.000 5.335 2.976
0.000 -5.335 2.976
Mg Cd Au
4 2 2
direct
0.250 0.085 0.915
0.250 0.117 0.429
0.750 0.429 0.117
0.750 0.915 0.085
0.250 0.606 0.925
0.750 0.925 0.606
0.250 0.587 0.398
0.750 0.398 0.587
```

Largest 6 diffraction maxima, in order of falling intensity, 2θ = 10–90°:
39.16 deg, I = 100.0
17.06 deg, I = 70.9
24.85 deg, I = 50.8
34.52 deg, I = 50.4
36.33 deg, I = 37.4
38.34 deg, I = 34.1


Structure and simulated powder diffraction line list of MgCdAu2 (DFT lattice parameters and positions (PBE); CuKα).
Lines closer than 0.1° are merged.

Crystal structure
```
MgCdAu2
1.0
3.224 -3.276 0.000
3.224 3.276 0.000
0.000 0.000 3.553
Mg Cd Au
1 1 2
direct
0.000 0.000 0.000
0.500 0.500 0.000
0.000 0.500 0.500
0.500 0.000 0.500
```

Largest 6 diffraction maxima, in order of falling intensity, 2θ = 10–90°:
37.34 deg, I = 100.0
37.67 deg, I = 97.6
39.21 deg, I = 87.5
66.53 deg, I = 37.7
69.61 deg, I = 32.3
70.26 deg, I = 32.2


Structure and simulated powder diffraction line list of MgCd2Au5 (DFT lattice parameters and positions (PBE); CuKα).
Lines closer than 0.1° are merged.

Crystal structure
```
MgCd2Au5
1.0
4.839 0.000 0.000
0.000 3.063 5.019
0.000 -3.063 5.019
Mg Cd Au
1 2 5
direct
0.000 0.000 0.000
0.000 0.489 0.489
0.500 0.801 0.801
0.000 0.494 0.986
0.000 0.986 0.494
0.500 0.292 0.815
0.500 0.309 0.309
0.500 0.815 0.292
```

Largest 6 diffraction maxima, in order of falling intensity, 2θ = 10–90°:
39.16 deg, I = 100.0
37.16 deg, I = 34.3
40.49 deg, I = 28.6
35.78 deg, I = 21.9
68.32 deg, I = 20.1
75.78 deg, I = 15.1